[1]
Structure and theoretical X-ray powder pattern of ZnCdO2 (a structure optimized by DFT (GGA-PBE); Cu Kα).

Structure:
```
data_ZnCdO2
_space_group_name_H-M_alt 'P 1'
_space_group_IT_number 1
_cell_length_a 5.991
_cell_length_b 6.986
_cell_length_c 5.565
_cell_angle_alpha 90.00
_cell_angle_beta 90.00
_cell_angle_gamma 90.00
loop_
_space_group_symop_operation_xyz
'x,y,z'
loop_
_atom_site_label
_atom_site_type_symbol
_atom_site_fract_x
_atom_site_fract_y
_atom_site_fract_z
Zn1 Zn 0.077 0.126 0.000
Zn2 Zn 0.423 0.626 0.500
Zn3 Zn 0.577 0.374 0.000
Zn4 Zn 0.923 0.874 0.500
Cd1 Cd 0.090 0.623 0.003
Cd2 Cd 0.410 0.123 0.503
Cd3 Cd 0.590 0.877 0.003
Cd4 Cd 0.910 0.377 0.503
O1 O 0.062 0.108 0.641
O2 O 0.100 0.642 0.598
O3 O 0.400 0.142 0.098
O4 O 0.438 0.608 0.141
O5 O 0.562 0.392 0.641
O6 O 0.600 0.858 0.598
O7 O 0.900 0.358 0.098
O8 O 0.938 0.892 0.141
```

Peak list (12 most intense, 2θ from 10° to 90°, sorted by position)
d (Å), Rel. int.
3.018, 44
2.995, 20
2.783, 53
2.653, 100
2.638, 50
2.046, 22
1.747, 16
1.734, 30
1.580, 30
1.577, 15
1.471, 27
1.456, 16


[2]
Structure and theoretical X-ray powder pattern of ZnCd3O4 (a structure optimized by DFT (GGA-PBE); Cu Kα).

Structure:
```
data_ZnCd3O4
_space_group_name_H-M_alt 'P 1'
_space_group_IT_number 1
_cell_length_a 7.146
_cell_length_b 6.197
_cell_length_c 5.703
_cell_angle_alpha 90.00
_cell_angle_beta 90.00
_cell_angle_gamma 90.00
loop_
_space_group_symop_operation_xyz
'x,y,z'
loop_
_atom_site_label
_atom_site_type_symbol
_atom_site_fract_x
_atom_site_fract_y
_atom_site_fract_z
Zn1 Zn 0.000 0.171 0.000
Zn2 Zn 0.500 0.829 0.500
Cd1 Cd 0.000 0.841 0.503
Cd2 Cd 0.248 0.670 0.001
Cd3 Cd 0.252 0.330 0.501
Cd4 Cd 0.500 0.159 0.003
Cd5 Cd 0.748 0.330 0.501
Cd6 Cd 0.752 0.670 0.001
O1 O 0.000 0.173 0.649
O2 O 0.000 0.863 0.109
O3 O 0.233 0.323 0.107
O4 O 0.267 0.677 0.607
O5 O 0.500 0.137 0.609
O6 O 0.500 0.827 0.149
O7 O 0.733 0.677 0.607
O8 O 0.767 0.323 0.107
```

Peak list (12 most intense, 2θ from 10° to 90°, sorted by position)
d (Å), Rel. int.
3.096, 41
2.851, 35
2.721, 100
2.098, 21
1.788, 30
1.620, 29
1.515, 27
1.494, 16
1.361, 5
1.200, 10
1.147, 9
1.115, 8


[3]
Structure and theoretical X-ray powder pattern of Zn6CdO6 (a structure optimized by DFT (GGA-PBE); Cu Kα).

Structure:
```
data_Zn6CdO6
_space_group_name_H-M_alt 'P 1'
_space_group_IT_number 1
_cell_length_a 5.738
_cell_length_b 5.738
_cell_length_c 5.738
_cell_angle_alpha 90.00
_cell_angle_beta 90.00
_cell_angle_gamma 90.00
loop_
_space_group_symop_operation_xyz
'x,y,z'
loop_
_atom_site_label
_atom_site_type_symbol
_atom_site_fract_x
_atom_site_fract_y
_atom_site_fract_z
Zn1 Zn 0.000 0.249 0.500
Zn2 Zn 0.000 0.751 0.500
Zn3 Zn 0.249 0.500 0.000
Zn4 Zn 0.500 0.000 0.249
Zn5 Zn 0.500 0.000 0.751
Zn6 Zn 0.751 0.500 0.000
Cd1 Cd 0.000 0.000 0.000
O1 O 0.000 0.500 0.253
O2 O 0.000 0.500 0.747
O3 O 0.253 0.000 0.500
O4 O 0.500 0.253 0.000
O5 O 0.500 0.747 0.000
O6 O 0.747 0.000 0.500
```

Peak list (12 most intense, 2θ from 10° to 90°, sorted by position)
d (Å), Rel. int.
5.738, 38
3.313, 14
2.869, 45
2.566, 95
2.342, 100
1.656, 21
1.591, 22
1.533, 48
1.434, 23
1.283, 13
1.252, 20
1.223, 11


[4]
Structure and theoretical X-ray powder pattern of ZnCdO (a structure optimized by DFT (GGA-PBE); Cu Kα).

Structure:
```
data_ZnCdO
_space_group_name_H-M_alt 'P 1'
_space_group_IT_number 1
_cell_length_a 3.211
_cell_length_b 3.211
_cell_length_c 10.864
_cell_angle_alpha 100.04
_cell_angle_beta 100.04
_cell_angle_gamma 62.62
loop_
_space_group_symop_operation_xyz
'x,y,z'
loop_
_atom_site_label
_atom_site_type_symbol
_atom_site_fract_x
_atom_site_fract_y
_atom_site_fract_z
Zn1 Zn 0.000 0.000 0.000
Zn2 Zn 0.236 0.236 0.743
Cd1 Cd 0.374 0.374 0.229
Cd2 Cd 0.775 0.775 0.468
O1 O 0.317 0.317 0.934
O2 O 0.870 0.870 0.683
```

Peak list (12 most intense, 2θ from 10° to 90°, sorted by position)
d (Å), Rel. int.
2.815, 72
2.685, 26
2.659, 79
2.621, 100
2.486, 41
2.396, 62
2.388, 40
2.106, 36
1.669, 22
1.603, 33
1.581, 25
1.413, 20


[5]
Structure and theoretical X-ray powder pattern of Zr3Cd3O (a structure optimized by DFT (GGA-PBE); Cu Kα).

Structure:
```
data_Zr3Cd3O
_space_group_name_H-M_alt 'P 1'
_space_group_IT_number 1
_cell_length_a 9.084
_cell_length_b 9.084
_cell_length_c 9.084
_cell_angle_alpha 60.00
_cell_angle_beta 60.00
_cell_angle_gamma 60.00
loop_
_space_group_symop_operation_xyz
'x,y,z'
loop_
_atom_site_label
_atom_site_type_symbol
_atom_site_fract_x
_atom_site_fract_y
_atom_site_fract_z
Zr1 Zr 0.052 0.052 0.698
Zr2 Zr 0.052 0.698 0.052
Zr3 Zr 0.052 0.698 0.698
Zr4 Zr 0.302 0.302 0.948
Zr5 Zr 0.302 0.948 0.302
Zr6 Zr 0.302 0.948 0.948
Zr7 Zr 0.698 0.052 0.052
Zr8 Zr 0.698 0.052 0.698
Zr9 Zr 0.698 0.698 0.052
Zr10 Zr 0.948 0.302 0.302
Zr11 Zr 0.948 0.302 0.948
Zr12 Zr 0.948 0.948 0.302
Cd1 Cd 0.000 0.500 0.500
Cd2 Cd 0.288 0.288 0.288
Cd3 Cd 0.288 0.288 0.635
Cd4 Cd 0.288 0.635 0.288
Cd5 Cd 0.365 0.712 0.712
Cd6 Cd 0.500 0.000 0.500
Cd7 Cd 0.500 0.500 0.000
Cd8 Cd 0.500 0.500 0.500
Cd9 Cd 0.635 0.288 0.288
Cd10 Cd 0.712 0.365 0.712
Cd11 Cd 0.712 0.712 0.365
Cd12 Cd 0.712 0.712 0.712
O1 O 0.000 0.000 0.000
O2 O 0.000 0.000 0.500
O3 O 0.000 0.500 0.000
O4 O 0.500 0.000 0.000
```

Peak list (12 most intense, 2θ from 10° to 90°, sorted by position)
d (Å), Rel. int.
2.947, 6
2.622, 29
2.472, 100
2.271, 22
2.171, 7
2.141, 11
1.854, 7
1.514, 31
1.483, 7
1.402, 7
1.291, 20
1.236, 7


[6]
Structure and theoretical X-ray powder pattern of ZrCd6O8 (a structure optimized by DFT (GGA-PBE); Cu Kα).

Structure:
```
data_ZrCd6O8
_space_group_name_H-M_alt 'P 1'
_space_group_IT_number 1
_cell_length_a 6.749
_cell_length_b 6.749
_cell_length_c 6.749
_cell_angle_alpha 60.00
_cell_angle_beta 60.00
_cell_angle_gamma 60.00
loop_
_space_group_symop_operation_xyz
'x,y,z'
loop_
_atom_site_label
_atom_site_type_symbol
_atom_site_fract_x
_atom_site_fract_y
_atom_site_fract_z
Zr1 Zr 0.000 0.000 0.000
Cd1 Cd 0.000 0.000 0.500
Cd2 Cd 0.000 0.500 0.000
Cd3 Cd 0.000 0.500 0.500
Cd4 Cd 0.500 0.000 0.000
Cd5 Cd 0.500 0.000 0.500
Cd6 Cd 0.500 0.500 0.000
O1 O 0.224 0.224 0.776
O2 O 0.224 0.776 0.224
O3 O 0.224 0.776 0.776
O4 O 0.250 0.250 0.250
O5 O 0.750 0.750 0.750
O6 O 0.776 0.224 0.224
O7 O 0.776 0.224 0.776
O8 O 0.776 0.776 0.224
```

Peak list (12 most intense, 2θ from 10° to 90°, sorted by position)
d (Å), Rel. int.
5.510, 17
4.772, 13
3.374, 11
2.878, 6
2.755, 100
2.386, 96
2.134, 7
1.687, 61
1.439, 43
1.378, 19
1.193, 9
1.095, 19


[7]
Structure and theoretical X-ray powder pattern of Cd3Os (a structure optimized by DFT (GGA-PBE); Cu Kα).

Structure:
```
data_Cd3Os
_space_group_name_H-M_alt 'P 1'
_space_group_IT_number 1
_cell_length_a 2.966
_cell_length_b 2.966
_cell_length_c 8.829
_cell_angle_alpha 90.00
_cell_angle_beta 90.00
_cell_angle_gamma 90.00
loop_
_space_group_symop_operation_xyz
'x,y,z'
loop_
_atom_site_label
_atom_site_type_symbol
_atom_site_fract_x
_atom_site_fract_y
_atom_site_fract_z
Cd1 Cd 0.000 0.000 0.000
Cd2 Cd 0.500 0.500 0.276
Cd3 Cd 0.500 0.500 0.724
Os1 Os 0.000 0.000 0.500
```

Peak list (12 most intense, 2θ from 10° to 90°, sorted by position)
d (Å), Rel. int.
8.829, 22
4.415, 3
2.462, 100
2.207, 16
2.097, 33
2.089, 8
1.520, 19
1.483, 10
1.351, 3
1.318, 9
1.270, 24
1.231, 9


[8]
Structure and theoretical X-ray powder pattern of CdOs3 (a structure optimized by DFT (GGA-PBE); Cu Kα).

Structure:
```
data_CdOs3
_space_group_name_H-M_alt 'P 1'
_space_group_IT_number 1
_cell_length_a 2.797
_cell_length_b 2.797
_cell_length_c 9.171
_cell_angle_alpha 90.00
_cell_angle_beta 90.00
_cell_angle_gamma 120.00
loop_
_space_group_symop_operation_xyz
'x,y,z'
loop_
_atom_site_label
_atom_site_type_symbol
_atom_site_fract_x
_atom_site_fract_y
_atom_site_fract_z
Cd1 Cd 0.000 0.000 0.000
Os1 Os 0.000 0.000 0.500
Os2 Os 0.333 0.667 0.272
Os3 Os 0.333 0.667 0.728
```

Peak list (12 most intense, 2θ from 10° to 90°, sorted by position)
d (Å), Rel. int.
2.422, 26
2.293, 24
2.142, 100
1.899, 8
1.665, 13
1.462, 4
1.399, 18
1.293, 14
1.194, 18
1.171, 15
1.152, 5
1.112, 4